CsCoRe2O8: computed X-ray powder pattern (Cu Kα (weighted mean of Kα1 and Kα2)), based on a cell relaxed with GGA+U.

Structural model:
```
CsCoRe2O8
1.0
4.8124 -2.9662 0.0000
4.8124 2.9662 0.0000
-0.5611 0.0000 8.5467
Cs Co Re O
1 1 2 8
Direct
0.0000 0.0000 0.0000 Cs
0.0000 0.0000 0.5000 Co
0.3571 0.3571 0.7043 Re
0.6429 0.6429 0.2957 Re
0.1996 0.1996 0.5883 O
0.2087 0.6989 0.6653 O
0.3011 0.7913 0.3347 O
0.3223 0.3223 0.9038 O
0.6777 0.6777 0.0962 O
0.6989 0.2087 0.6653 O
0.7913 0.3011 0.3347 O
0.8004 0.8004 0.4117 O
```

Largest 10 diffraction maxima, sorted by position, 2θ from 10° to 90°:
20.1°, I = 24
20.6°, I = 55
20.7°, I = 100
21.8°, I = 24
26.9°, I = 85
28.9°, I = 19
30.1°, I = 34
31.8°, I = 52
36.8°, I = 31
42.2°, I = 16